For YbTaTiO6, a cell relaxed with PBE gives the computed PXRD pattern in this record (Cu Kα (weighted mean of Kα1 and Kα2)).

```
data_YbTaTiO6
_chemical_formula_sum 'Yb4 Ta4 Ti4 O24'
_cell_length_a 5.221
_cell_length_b 14.780
_cell_length_c 5.672
_cell_angle_alpha 90.00
_cell_angle_beta 90.45
_cell_angle_gamma 90.00
_space_group_name_H-M_alt 'P 1'
_space_group_IT_number 1
loop_
_space_group_symop_operation_xyz
'x,y,z'
loop_
_atom_site_label
_atom_site_fract_x
_atom_site_fract_y
_atom_site_fract_z
Yb1 0.247 0.000 0.222
Yb2 0.247 0.500 0.722
Yb3 0.753 0.000 0.778
Yb4 0.753 0.500 0.278
Ta1 0.313 0.169 0.674
Ta2 0.313 0.331 0.174
Ta3 0.687 0.669 0.826
Ta4 0.687 0.831 0.326
Ti1 0.190 0.664 0.184
Ti2 0.190 0.836 0.684
Ti3 0.810 0.164 0.316
Ti4 0.810 0.336 0.816
O1 0.019 0.095 0.565
O2 0.019 0.405 0.065
O3 0.088 0.587 0.405
O4 0.088 0.913 0.905
O5 0.142 0.240 0.366
O6 0.142 0.260 0.866
O7 0.364 0.743 0.857
O8 0.364 0.757 0.357
O9 0.411 0.085 0.904
O10 0.411 0.415 0.404
O11 0.479 0.596 0.071
O12 0.479 0.904 0.571
O13 0.521 0.096 0.429
O14 0.521 0.404 0.929
O15 0.589 0.585 0.596
O16 0.589 0.915 0.096
O17 0.636 0.243 0.643
O18 0.636 0.257 0.143
O19 0.858 0.740 0.134
O20 0.858 0.760 0.634
O21 0.912 0.087 0.095
O22 0.912 0.413 0.595
O23 0.981 0.595 0.935
O24 0.981 0.905 0.435
```

Peak list (8 most intense, 2θ = 5–70°, by angle)
- 2θ = 18.02°, intensity 25.0
- 2θ = 23.91°, intensity 30.7
- 2θ = 29.41°, intensity 76.7
- 2θ = 29.56°, intensity 100.0
- 2θ = 31.55°, intensity 21.1
- 2θ = 36.48°, intensity 20.0
- 2θ = 50.98°, intensity 20.3
- 2θ = 61.39°, intensity 31.6

***

For TaTiZnO6, a cell relaxed with PBE gives the computed PXRD pattern in this record (Cu Kα (weighted mean of Kα1 and Kα2)).

```
data_TaTiZnO6
_chemical_formula_sum 'Ta2 Ti2 Zn2 O12'
_cell_length_a 4.748
_cell_length_b 4.748
_cell_length_c 9.173
_cell_angle_alpha 90.00
_cell_angle_beta 90.00
_cell_angle_gamma 90.00
_space_group_name_H-M_alt 'P 1'
_space_group_IT_number 1
loop_
_space_group_symop_operation_xyz
'x,y,z'
loop_
_atom_site_label
_atom_site_fract_x
_atom_site_fract_y
_atom_site_fract_z
Ta1 0.000 0.000 0.000
Ta2 0.500 0.500 0.500
Ti1 0.000 0.000 0.670
Ti2 0.500 0.500 0.170
Zn1 0.000 0.000 0.336
Zn2 0.500 0.500 0.836
O1 0.189 0.189 0.833
O2 0.202 0.202 0.513
O3 0.206 0.206 0.157
O4 0.294 0.706 0.657
O5 0.298 0.702 0.013
O6 0.311 0.689 0.333
O7 0.689 0.311 0.333
O8 0.702 0.298 0.013
O9 0.706 0.294 0.657
O10 0.794 0.794 0.157
O11 0.798 0.798 0.513
O12 0.811 0.811 0.833
```

Peak list (8 most intense, 2θ = 5–70°, by angle)
- 2θ = 21.07°, intensity 51.8
- 2θ = 26.55°, intensity 100.0
- 2θ = 33.06°, intensity 17.3
- 2θ = 34.90°, intensity 72.8
- 2θ = 37.90°, intensity 19.6
- 2θ = 52.46°, intensity 63.9
- 2θ = 54.67°, intensity 17.2
- 2θ = 66.52°, intensity 19.4

***

For Ta2TiZn2O8, a cell relaxed with PBE gives the computed PXRD pattern in this record (Cu Kα (weighted mean of Kα1 and Kα2)).

```
data_Ta2TiZn2O8
_chemical_formula_sum 'Ta4 Ti2 Zn4 O16'
_cell_length_a 10.145
_cell_length_b 10.145
_cell_length_c 5.299
_cell_angle_alpha 90.46
_cell_angle_beta 90.46
_cell_angle_gamma 34.05
_space_group_name_H-M_alt 'P 1'
_space_group_IT_number 1
loop_
_space_group_symop_operation_xyz
'x,y,z'
loop_
_atom_site_label
_atom_site_fract_x
_atom_site_fract_y
_atom_site_fract_z
Ta1 0.032 0.738 0.736
Ta2 0.262 0.968 0.764
Ta3 0.738 0.032 0.236
Ta4 0.968 0.262 0.264
Ti1 0.374 0.626 0.250
Ti2 0.626 0.374 0.750
Zn1 0.131 0.434 0.226
Zn2 0.434 0.131 0.726
Zn3 0.566 0.869 0.274
Zn4 0.869 0.566 0.774
O1 0.060 0.804 0.077
O2 0.073 0.278 0.573
O3 0.155 0.458 0.856
O4 0.196 0.940 0.423
O5 0.278 0.073 0.073
O6 0.312 0.573 0.587
O7 0.427 0.688 0.913
O8 0.458 0.155 0.356
O9 0.542 0.845 0.644
O10 0.573 0.312 0.087
O11 0.688 0.427 0.413
O12 0.722 0.927 0.927
O13 0.804 0.060 0.577
O14 0.845 0.542 0.144
O15 0.927 0.722 0.427
O16 0.940 0.196 0.923
```

Peak list (8 most intense, 2θ = 5–70°, by angle)
- 2θ = 18.29°, intensity 48.2
- 2θ = 22.95°, intensity 70.5
- 2θ = 27.46°, intensity 83.5
- 2θ = 32.22°, intensity 92.5
- 2θ = 32.43°, intensity 67.6
- 2θ = 33.83°, intensity 62.2
- 2θ = 34.62°, intensity 100.0
- 2θ = 51.79°, intensity 62.1